Record 1
# Dy5Ru2
Calculated X-ray diffraction stick pattern, Cu Kα X-rays. Input: a GGA-PBE-relaxed structure.
Intensities are scaled so that the largest is 100.

Peak list (10 most intense, 10° ≤ 2θ ≤ 90°, low angle first)
two_theta, I_rel
28.38, 40
30.73, 82
31.57, 86
31.90, 100
32.28, 34
33.41, 43
34.98, 43
35.64, 46
39.79, 46
52.85, 37

Atomic structure:
Unit cell a=8.4964 b=8.4964 c=7.2755 alpha=96.79 beta=96.79 gamma=43.94
Sites, in units of the cell vectors:
Dy 0.0792 0.9208 0.7500
Dy 0.1404 0.2938 0.3141
Dy 0.2933 0.5205 0.0852
Dy 0.2938 0.1404 0.8141
Dy 0.4795 0.7067 0.4148
Dy 0.5205 0.2933 0.5852
Dy 0.7062 0.8596 0.1859
Dy 0.7067 0.4795 0.9148
Dy 0.8596 0.7062 0.6859
Dy 0.9208 0.0792 0.2500
Ru 0.1032 0.6752 0.4240
Ru 0.3248 0.8968 0.0760
Ru 0.6752 0.1032 0.9240
Ru 0.8968 0.3248 0.5760

***

Record 2
# Dy3Si12Ru4
Calculated X-ray diffraction stick pattern, Cu Kα X-rays. Input: a GGA-PBE-relaxed structure.
Intensities are scaled so that the largest is 100.

Peak list (10 most intense, 10° ≤ 2θ ≤ 90°, low angle first)
two_theta, I_rel
19.17, 57
23.89, 55
31.09, 51
35.21, 82
36.55, 100
36.78, 94
44.54, 34
45.66, 34
49.41, 38
58.93, 59

Atomic structure:
Unit cell a=10.1129 b=10.1129 c=8.1371 alpha=90.00 beta=90.00 gamma=47.44
Sites, in units of the cell vectors:
Dy 0.0000 0.0000 0.0000
Dy 0.0037 0.4963 0.2500
Dy 0.4963 0.0037 0.7500
Dy 0.5000 0.5000 0.5000
Dy 0.5037 0.9963 0.2500
Dy 0.9963 0.5037 0.7500
Si 0.1110 0.1233 0.7286
Si 0.1121 0.6536 0.4930
Si 0.1233 0.1110 0.2714
Si 0.1536 0.6121 0.9930
Si 0.1668 0.8332 0.6667
Si 0.2047 0.2047 0.5000
Si 0.2953 0.2953 0.0000
Si 0.3332 0.6668 0.1667
Si 0.3464 0.8879 0.4930
Si 0.3767 0.3890 0.7714
Si 0.3879 0.8464 0.9930
Si 0.3890 0.3767 0.2286
Si 0.6110 0.6233 0.7714
Si 0.6121 0.1536 0.0070
Si 0.6233 0.6110 0.2286
Si 0.6536 0.1121 0.5070
Si 0.6668 0.3332 0.8333
Si 0.7047 0.7047 0.0000
Si 0.7953 0.7953 0.5000
Si 0.8332 0.1668 0.3333
Si 0.8464 0.3879 0.0070
Si 0.8767 0.8890 0.7286
Si 0.8879 0.3464 0.5070
Si 0.8890 0.8767 0.2714
Ru 0.1274 0.8726 0.3727
Ru 0.1693 0.1693 0.0000
Ru 0.3307 0.3307 0.5000
Ru 0.3726 0.6274 0.8727
Ru 0.6274 0.3726 0.1273
Ru 0.6693 0.6693 0.5000
Ru 0.8307 0.8307 0.0000
Ru 0.8726 0.1274 0.6273

***

Record 3
# SmDyRu2
Calculated X-ray diffraction stick pattern, Cu Kα X-rays. Input: a GGA-PBE-relaxed structure.
Intensities are scaled so that the largest is 100.

Peak list (8 most intense, 10° ≤ 2θ ≤ 90°, low angle first)
two_theta, I_rel
25.92, 5
36.99, 100
45.72, 2
53.31, 17
60.21, 2
66.66, 35
78.76, 11
84.59, 1

Atomic structure:
Unit cell a=6.8738 b=6.8738 c=6.8738 alpha=90.00 beta=90.00 gamma=90.00
Sites, in units of the cell vectors:
Sm 0.0000 0.0000 0.0000
Sm 0.0000 0.5000 0.5000
Sm 0.5000 0.0000 0.5000
Sm 0.5000 0.5000 0.0000
Dy 0.0000 0.0000 0.5000
Dy 0.0000 0.5000 0.0000
Dy 0.5000 0.0000 0.0000
Dy 0.5000 0.5000 0.5000
Ru 0.2500 0.2500 0.2500
Ru 0.2500 0.2500 0.7500
Ru 0.2500 0.7500 0.2500
Ru 0.2500 0.7500 0.7500
Ru 0.7500 0.2500 0.2500
Ru 0.7500 0.2500 0.7500
Ru 0.7500 0.7500 0.2500
Ru 0.7500 0.7500 0.7500

***

Record 4
# DyTaRu2
Calculated X-ray diffraction stick pattern, Cu Kα X-rays. Input: a GGA-PBE-relaxed structure.
Intensities are scaled so that the largest is 100.

Peak list (8 most intense, 10° ≤ 2θ ≤ 90°, low angle first)
two_theta, I_rel
27.23, 7
38.89, 100
48.13, 2
56.18, 17
63.53, 3
70.43, 35
83.50, 11
89.86, 2

Atomic structure:
Unit cell a=6.5493 b=6.5493 c=6.5493 alpha=90.00 beta=90.00 gamma=90.00
Sites, in units of the cell vectors:
Dy 0.0000 0.0000 0.0000
Dy 0.0000 0.5000 0.5000
Dy 0.5000 0.0000 0.5000
Dy 0.5000 0.5000 0.0000
Ta 0.0000 0.0000 0.5000
Ta 0.0000 0.5000 0.0000
Ta 0.5000 0.0000 0.0000
Ta 0.5000 0.5000 0.5000
Ru 0.2500 0.2500 0.2500
Ru 0.2500 0.2500 0.7500
Ru 0.2500 0.7500 0.2500
Ru 0.2500 0.7500 0.7500
Ru 0.7500 0.2500 0.2500
Ru 0.7500 0.2500 0.7500
Ru 0.7500 0.7500 0.2500
Ru 0.7500 0.7500 0.7500

***

Record 5
# DyThRu2
Calculated X-ray diffraction stick pattern, Cu Kα X-rays. Input: a GGA-PBE-relaxed structure.
Intensities are scaled so that the largest is 100.

Peak list (10 most intense, 10° ≤ 2θ ≤ 90°, low angle first)
two_theta, I_rel
22.13, 3
25.61, 11
36.53, 100
45.15, 3
52.63, 18
59.42, 5
65.76, 36
77.64, 11
83.35, 2
89.00, 17

Atomic structure:
Unit cell a=6.9565 b=6.9565 c=6.9565 alpha=90.00 beta=90.00 gamma=90.00
Sites, in units of the cell vectors:
Dy 0.0000 0.0000 0.0000
Dy 0.0000 0.5000 0.5000
Dy 0.5000 0.0000 0.5000
Dy 0.5000 0.5000 0.0000
Th 0.0000 0.0000 0.5000
Th 0.0000 0.5000 0.0000
Th 0.5000 0.0000 0.0000
Th 0.5000 0.5000 0.5000
Ru 0.2500 0.2500 0.2500
Ru 0.2500 0.2500 0.7500
Ru 0.2500 0.7500 0.2500
Ru 0.2500 0.7500 0.7500
Ru 0.7500 0.2500 0.2500
Ru 0.7500 0.2500 0.7500
Ru 0.7500 0.7500 0.2500
Ru 0.7500 0.7500 0.7500

***

Record 6
# DyTmRu2
Calculated X-ray diffraction stick pattern, Cu Kα X-rays. Input: a GGA-PBE-relaxed structure.
Intensities are scaled so that the largest is 100.

Peak list (8 most intense, 10° ≤ 2θ ≤ 90°, low angle first)
two_theta, I_rel
26.38, 6
37.66, 100
46.57, 2
54.31, 17
61.37, 3
67.98, 35
80.41, 11
86.42, 1

Atomic structure:
Unit cell a=6.7560 b=6.7560 c=6.7560 alpha=90.00 beta=90.00 gamma=90.00
Sites, in units of the cell vectors:
Dy 0.0000 0.0000 0.0000
Dy 0.0000 0.5000 0.5000
Dy 0.5000 0.0000 0.5000
Dy 0.5000 0.5000 0.0000
Tm 0.0000 0.0000 0.5000
Tm 0.0000 0.5000 0.0000
Tm 0.5000 0.0000 0.0000
Tm 0.5000 0.5000 0.5000
Ru 0.2500 0.2500 0.2500
Ru 0.2500 0.2500 0.7500
Ru 0.2500 0.7500 0.2500
Ru 0.2500 0.7500 0.7500
Ru 0.7500 0.2500 0.2500
Ru 0.7500 0.2500 0.7500
Ru 0.7500 0.7500 0.2500
Ru 0.7500 0.7500 0.7500